Li3Hf3MnS8: calculated X-ray diffraction stick pattern (Cu Kα (weighted mean of Kα1 and Kα2)), based on a PBE-relaxed structure.

Crystal structure
```
Li3Hf3MnS8
1.0
3.625 2.093 6.168
-3.625 2.093 6.168
0.000 -4.186 6.168
Li Hf Mn S
3 3 1 8
Cartesian
-1.813 -1.046 6.168
-1.813 1.046 12.336
0.000 2.093 6.168
-3.625 0.000 9.252
-1.813 1.046 3.084
1.813 1.046 3.084
0.000 0.000 9.252
-1.825 -1.054 10.717
0.000 0.000 4.599
0.000 -2.107 7.788
-1.825 1.054 7.788
1.825 -1.054 10.717
0.000 2.107 10.717
0.000 0.000 13.906
1.825 1.054 7.788
```

Peak list (10 most intense, 2θ from 5° to 70°, by angle)
| 2θ (°) | d (Å) | I/Imax |
| --- | --- | --- |
| 14.36 | 6.168 | 100 |
| 28.84 | 3.095 | 53 |
| 30.06 | 2.973 | 16 |
| 34.53 | 2.598 | 78 |
| 37.57 | 2.394 | 24 |
| 44.82 | 2.022 | 19 |
| 48.91 | 1.862 | 28 |
| 50.34 | 1.813 | 26 |
| 52.63 | 1.739 | 22 |
| 62.48 | 1.486 | 13 |